# 1
This entry pairs a crystal structure of NdI3O10 with its computed X-ray diffraction stick pattern. Radiation: λ = 1.5418 Å (Cu Kα). Structure: a structure optimized by DFT (PBE).

Most intense lines, 15 to 90 degrees two-theta, most intense first:
2θ (°)  I/Imax
27.21  100.0
29.02  70.6
22.35  63.2
29.56  54.6
25.74  50.9
22.78  49.3

Structural model:
Cell lengths 7.519, 6.700, 10.222 Å; angles 90.00, 110.00, 90.00 degrees
Sites, in units of the cell vectors:
1 Nd 0.237 0.000 0.312
2 Nd 0.763 0.500 0.688
3 I 0.108 0.128 0.920
4 I 0.170 0.527 0.540
5 I 0.470 0.474 0.276
6 I 0.530 0.974 0.724
7 I 0.830 0.027 0.460
8 I 0.892 0.628 0.080
9 O 0.038 0.393 0.889
10 O 0.046 0.641 0.648
11 O 0.101 0.717 0.403
12 O 0.254 0.160 0.103
13 O 0.270 0.823 0.915
14 O 0.295 0.132 0.840
15 O 0.298 0.363 0.349
16 O 0.345 0.711 0.220
17 O 0.351 0.055 0.563
18 O 0.413 0.599 0.641
19 O 0.587 0.099 0.359
20 O 0.649 0.555 0.437
21 O 0.655 0.211 0.780
22 O 0.702 0.863 0.651
23 O 0.705 0.632 0.160
24 O 0.730 0.323 0.085
25 O 0.746 0.660 0.897
26 O 0.899 0.217 0.597
27 O 0.954 0.141 0.352
28 O 0.962 0.893 0.111

=====

# 2
This entry pairs a crystal structure of SnNF3 with its computed X-ray diffraction stick pattern. Radiation: λ = 1.5418 Å (Cu Kα). Structure: a structure optimized by DFT (PBE).

Most intense lines, 15 to 90 degrees two-theta, most intense first:
2θ (°)  I/Imax
17.73  100.0
28.75  69.3
31.06  66.7
19.53  56.5
34.99  47.4
52.40  45.5

Structural model:
Cell lengths 5.790, 5.790, 5.790 Å; angles 64.87, 64.87, 64.87 degrees
Sites, in units of the cell vectors:
1 Sn 0.129 0.129 0.129
2 Sn 0.871 0.871 0.871
3 N 0.382 0.382 0.382
4 N 0.618 0.618 0.618
5 F 0.032 0.782 0.504
6 F 0.218 0.496 0.968
7 F 0.496 0.968 0.218
8 F 0.504 0.032 0.782
9 F 0.782 0.504 0.032
10 F 0.968 0.218 0.496

=====

# 3
This entry pairs a crystal structure of Li3CeGa8 with its computed X-ray diffraction stick pattern. Radiation: λ = 1.5418 Å (Cu Kα). Structure: a structure optimized by DFT (PBE).

Most intense lines, 15 to 90 degrees two-theta, most intense first:
2θ (°)  I/Imax
39.34  100.0
37.23  86.5
49.83  33.1
74.91  28.5
55.28  26.5
29.34  25.8

Structural model:
Cell lengths 9.161, 9.161, 3.044 Å; angles 90.00, 90.00, 120.00 degrees
Sites, in units of the cell vectors:
1 Li 0.000 0.500 0.000
2 Li 0.500 0.000 0.000
3 Li 0.500 0.500 0.000
4 Ce 0.000 0.000 0.000
5 Ga 0.173 0.346 0.500
6 Ga 0.173 0.827 0.500
7 Ga 0.333 0.667 0.500
8 Ga 0.346 0.173 0.500
9 Ga 0.654 0.827 0.500
10 Ga 0.667 0.333 0.500
11 Ga 0.827 0.173 0.500
12 Ga 0.827 0.654 0.500

=====

# 4
This entry pairs a crystal structure of Er5B2O6F9 with its computed X-ray diffraction stick pattern. Radiation: λ = 1.5418 Å (Cu Kα). Structure: a structure optimized by DFT (PBE).

Most intense lines, 15 to 90 degrees two-theta, most intense first:
2θ (°)  I/Imax
26.52  100.0
31.38  76.3
50.75  60.1
27.19  54.6
22.07  40.8
24.99  38.7

Structural model:
Cell lengths 10.679, 10.679, 8.268 Å; angles 99.69, 99.69, 33.10 degrees
Sites, in units of the cell vectors:
1 Er 0.074 0.314 0.320
2 Er 0.112 0.888 0.750
3 Er 0.280 0.501 0.094
4 Er 0.314 0.074 0.820
5 Er 0.499 0.720 0.406
6 Er 0.501 0.280 0.594
7 Er 0.686 0.926 0.180
8 Er 0.720 0.499 0.906
9 Er 0.888 0.112 0.250
10 Er 0.926 0.686 0.680
11 B 0.016 0.207 0.563
12 B 0.207 0.016 0.063
13 B 0.793 0.984 0.937
14 B 0.984 0.793 0.437
15 O 0.011 0.804 0.284
16 O 0.098 0.220 0.039
17 O 0.148 0.670 0.565
18 O 0.196 0.989 0.216
19 O 0.220 0.098 0.539
20 O 0.330 0.852 0.935
21 O 0.670 0.148 0.065
22 O 0.780 0.902 0.461
23 O 0.804 0.011 0.784
24 O 0.852 0.330 0.435
25 O 0.902 0.780 0.961
26 O 0.989 0.196 0.716
27 F 0.005 0.446 0.785
28 F 0.153 0.784 0.013
29 F 0.214 0.364 0.520
30 F 0.216 0.847 0.487
31 F 0.294 0.443 0.814
32 F 0.364 0.214 0.020
33 F 0.443 0.294 0.314
34 F 0.446 0.005 0.285
35 F 0.486 0.514 0.750
36 F 0.514 0.486 0.250
37 F 0.554 0.995 0.715
38 F 0.557 0.706 0.686
39 F 0.636 0.786 0.980
40 F 0.706 0.557 0.186
41 F 0.784 0.153 0.513
42 F 0.786 0.636 0.480
43 F 0.847 0.216 0.987
44 F 0.995 0.554 0.215

=====

# 5
This entry pairs a crystal structure of Na2Al2Si3H4O12 with its computed X-ray diffraction stick pattern. Radiation: λ = 1.5418 Å (Cu Kα). Structure: a structure optimized by DFT (PBE).

Most intense lines, 15 to 90 degrees two-theta, most intense first:
2θ (°)  I/Imax
17.26  100.0
27.39  47.5
28.36  38.0
19.92  33.2
15.76  31.1
18.34  30.7

Structural model:
Cell lengths 7.640, 8.950, 9.066 Å; angles 119.26, 100.52, 91.54 degrees
Sites, in units of the cell vectors:
1 Na 0.000 0.000 0.000
2 Na 0.081 0.659 0.546
3 Na 0.517 0.353 0.366
4 Na 0.880 0.634 0.131
5 Al 0.088 0.031 0.546
6 Al 0.110 0.562 0.873
7 Al 0.601 0.931 0.034
8 Al 0.872 0.218 0.794
9 Si 0.188 0.253 0.400
10 Si 0.304 0.904 0.201
11 Si 0.452 0.409 0.731
12 Si 0.740 0.811 0.478
13 Si 0.757 0.650 0.733
14 Si 0.758 0.304 0.140
15 H 0.056 0.427 0.285
16 H 0.278 0.936 0.820
17 H 0.401 0.708 0.339
18 H 0.420 0.760 0.769
19 H 0.594 0.896 0.433
20 H 0.805 0.999 0.659
21 H 0.946 0.175 0.577
22 H 0.996 0.187 0.357
23 O 0.004 0.420 0.914
24 O 0.134 0.772 0.059
25 O 0.139 0.944 0.786
26 O 0.140 0.103 0.774
27 O 0.238 0.432 0.414
28 O 0.267 0.099 0.239
29 O 0.275 0.729 0.354
30 O 0.275 0.913 0.396
31 O 0.292 0.239 0.572
32 O 0.320 0.549 0.822
33 O 0.445 0.885 0.840
34 O 0.498 0.876 0.162
35 O 0.577 0.369 0.874
36 O 0.578 0.503 0.660
37 O 0.594 0.433 0.195
38 O 0.616 0.628 0.266
39 O 0.639 0.244 0.708
40 O 0.680 0.155 0.178
41 O 0.726 0.716 0.593
42 O 0.761 0.794 0.938
43 O 0.821 0.185 0.962
44 O 0.929 0.455 0.272
45 O 0.937 0.833 0.429
46 O 0.948 0.578 0.715

=====

# 6
This entry pairs a crystal structure of MgSi2 with its computed X-ray diffraction stick pattern. Radiation: λ = 1.5418 Å (Cu Kα). Structure: a structure optimized by DFT (PBE).

Most intense lines, 15 to 90 degrees two-theta, most intense first:
2θ (°)  I/Imax
48.92  100.0
35.20  89.4
30.25  64.5
44.78  64.1
35.71  50.5
18.49  37.8

Structural model:
Cell lengths 9.799, 3.728, 6.444 Å; angles 90.00, 101.63, 90.00 degrees
Sites, in units of the cell vectors:
1 Mg 0.249 0.059 0.085
2 Mg 0.249 0.441 0.585
3 Mg 0.751 0.559 0.415
4 Mg 0.751 0.941 0.915
5 Si 0.052 0.556 0.852
6 Si 0.052 0.944 0.352
7 Si 0.447 0.520 0.317
8 Si 0.447 0.980 0.817
9 Si 0.553 0.020 0.183
10 Si 0.553 0.480 0.683
11 Si 0.948 0.056 0.648
12 Si 0.948 0.444 0.148

=====

# 7
This entry pairs a crystal structure of CeCo10Mo2 with its computed X-ray diffraction stick pattern. Radiation: λ = 1.5418 Å (Cu Kα). Structure: a structure optimized by DFT (PBE).

Most intense lines, 15 to 90 degrees two-theta, most intense first:
2θ (°)  I/Imax
43.10  100.0
44.34  67.3
37.22  61.3
42.74  28.9
49.53  25.8
42.63  20.0

Structural model:
Cell lengths 6.430, 6.430, 6.430 Å; angles 137.46, 97.68, 97.44 degrees
Sites, in units of the cell vectors:
1 Ce 0.000 0.000 0.000
2 Co 0.000 0.000 0.500
3 Co 0.000 0.500 0.000
4 Co 0.210 0.500 0.710
5 Co 0.220 0.720 0.500
6 Co 0.360 0.000 0.360
7 Co 0.500 0.000 0.000
8 Co 0.500 0.500 0.500
9 Co 0.640 0.000 0.640
10 Co 0.780 0.280 0.500
11 Co 0.790 0.500 0.290
12 Mo 0.359 0.359 0.000
13 Mo 0.641 0.641 0.000